Diffraction record for SnHg3Se4. The XRD peak list is simulated, not measured: it uses a crystal structure in Alexandria, relaxed with PBE and λ = 1.5418 Å (Cu Kα).
Peak positions follow from Bragg's law for the DFT cell and can differ from measured ones.

Top 12 peaks for 2θ = 10–90°, by intensity:
2theta  I_rel
25.93  100
42.74  83
23.08  80
40.55  74
23.43  56
47.36  53
33.13  35
75.29  31
60.38  30
66.14  20
48.77  19
65.23  16

Crystal structure
Cell: 8.898 7.706 7.593 Å, 90.00 90.00 90.00°
Fractional coordinates of all 16 atoms:
Sn  0.000  0.166  0.000
Sn  0.500  0.834  0.500
Hg  0.000  0.823  0.508
Hg  0.248  0.664  0.010
Hg  0.252  0.336  0.510
Hg  0.500  0.177  0.008
Hg  0.748  0.336  0.510
Hg  0.752  0.664  0.010
Se  0.000  0.162  0.602
Se  0.000  0.822  0.146
Se  0.244  0.662  0.648
Se  0.256  0.338  0.148
Se  0.500  0.178  0.646
Se  0.500  0.838  0.102
Se  0.744  0.338  0.148
Se  0.756  0.662  0.648